No. 1
Starting from a DFT-relaxed cell (GGA-PBE, the Materials Project), the X-ray diffraction stick pattern of ScSnPd was simulated for Cu Kα (λ = 1.5418 Å).
Neutral-atom scattering factors, no anomalous dispersion.

Most intense lines, 2θ from 10° to 90°, sorted by position:
23.59 deg, I 40, hkl 1 1 0; 34.32 deg, I 100, hkl 1 1 2; 36.39 deg, I 41, hkl 2 1 0; 37.06 deg, I 83, hkl 2 0 2; 41.47 deg, I 84, hkl 3 0 0; 44.40 deg, I 68, hkl 2 1 2; 67.22 deg, I 32, hkl 3 0 4; 67.65 deg, I 45, hkl 3 2 2

Atomic structure:
Cell lengths 7.5436, 7.5436, 7.2465 Å; angles 90.00, 90.00, 120.00 degrees
Fractional positions:
Sc  0.0150  0.4009  0.2500
Sc  0.3859  0.9850  0.2500
Sc  0.4009  0.0150  0.7500
Sc  0.5991  0.6141  0.2500
Sc  0.6141  0.5991  0.7500
Sc  0.9850  0.3859  0.7500
Sn  0.0000  0.7251  0.0000
Sn  0.0000  0.7251  0.5000
Sn  0.2749  0.2749  0.0000
Sn  0.2749  0.2749  0.5000
Sn  0.7251  0.0000  0.0000
Sn  0.7251  0.0000  0.5000
Pd  0.0000  0.0000  0.2500
Pd  0.0000  0.0000  0.7500
Pd  0.3333  0.6667  0.5322
Pd  0.3333  0.6667  0.9678
Pd  0.6667  0.3333  0.0322
Pd  0.6667  0.3333  0.4678

=====

No. 2
Starting from a DFT-relaxed cell (GGA-PBE, the Materials Project), the X-ray diffraction stick pattern of Ni3Mo was simulated for Cu Kα (λ = 1.5418 Å).
Neutral-atom scattering factors, no anomalous dispersion.

Most intense lines, 2θ from 10° to 90°, sorted by position:
42.64 deg, I 100, hkl 1 0 4; 43.56 deg, I 30, hkl 0 0 12; 49.92 deg, I 61, hkl 0 1 8; 72.62 deg, I 19, hkl 1 1 0; 73.94 deg, I 17, hkl 1 0 16; 88.03 deg, I 11, hkl 0 2 4; 88.66 deg, I 22, hkl 1 1 12; 89.92 deg, I 10, hkl 0 1 20

Atomic structure:
Cell lengths 2.6038, 2.6038, 24.9316 Å; angles 90.00, 90.00, 120.00 degrees
Fractional positions:
Ni  0.0000  0.0000  0.0000
Ni  0.0000  0.0000  0.2535
Ni  0.0000  0.0000  0.7465
Ni  0.3333  0.6667  0.4132
Ni  0.3333  0.6667  0.6667
Ni  0.3333  0.6667  0.9201
Ni  0.6667  0.3333  0.0799
Ni  0.6667  0.3333  0.3333
Ni  0.6667  0.3333  0.5868
Mo  0.0000  0.0000  0.5000
Mo  0.3333  0.6667  0.1667
Mo  0.6667  0.3333  0.8333

=====

No. 3
Starting from a DFT-relaxed cell (GGA-PBE, the Materials Project), the X-ray diffraction stick pattern of Nd3Ho was simulated for Cu Kα (λ = 1.5418 Å).
Neutral-atom scattering factors, no anomalous dispersion.

Most intense lines, 2θ from 10° to 90°, sorted by position:
29.94 deg, I 100, hkl 1 1 2; 34.66 deg, I 34, hkl 2 0 0; 34.83 deg, I 17, hkl 0 0 4; 49.82 deg, I 12, hkl 2 2 0; 49.95 deg, I 24, hkl 2 0 4; 59.22 deg, I 29, hkl 3 1 2; 59.45 deg, I 14, hkl 1 1 6; 62.22 deg, I 12, hkl 2 2 4

Atomic structure:
Cell lengths 5.1768, 5.1768, 10.3036 Å; angles 90.00, 90.00, 90.00 degrees
Fractional positions:
Nd  0.0000  0.0000  0.0000
Nd  0.0000  0.5000  0.2500
Nd  0.0000  0.5000  0.7500
Nd  0.5000  0.0000  0.2500
Nd  0.5000  0.0000  0.7500
Nd  0.5000  0.5000  0.5000
Ho  0.0000  0.0000  0.5000
Ho  0.5000  0.5000  0.0000